Record 1
The following is a simulated PXRD pattern of BiMoS2. It was derived from DFT lattice parameters and positions (PBE), using Cu Kα.
Kinematic intensities with the Lorentz-polarization factor, no thermal factor.

Unit cell a=3.2820 b=5.8515 c=9.5878 alpha=84.82 beta=80.23 gamma=89.98
Element x y z (fractional)
Bi (0.0424, 0.2769, 0.4229)
Bi (0.9576, 0.7231, 0.5771)
Mo (0.2463, 0.8072, 0.0080)
Mo (0.7537, 0.1928, 0.9920)
S (0.1843, 0.4016, 0.1324)
S (0.3405, 0.1045, 0.8172)
S (0.6595, 0.8955, 0.1828)
S (0.8157, 0.5984, 0.8676)

Top 6 peaks for 10 to 90 degrees two-theta, sorted by position:
| 2θ (°) | I_rel |
| --- | --- |
| 18.63 | 58.6 |
| 18.86 | 100.0 |
| 27.59 | 88.6 |
| 30.71 | 91.7 |
| 33.86 | 81.8 |
| 47.45 | 62.0 |

---

Record 2
The following is a simulated PXRD pattern of Nd2As4Pd5. It was derived from DFT lattice parameters and positions (PBE), using Cu Kα.
Kinematic intensities with the Lorentz-polarization factor, no thermal factor.

Unit cell a=9.0605 b=8.1006 c=5.7656 alpha=79.66 beta=61.59 gamma=38.76
Element x y z (fractional)
Nd (0.1404, 0.1404, 0.8596)
Nd (0.8596, 0.8596, 0.1404)
As (0.2191, 0.5203, 0.4797)
As (0.4797, 0.7809, 0.2191)
As (0.5203, 0.2191, 0.7809)
As (0.7809, 0.4797, 0.5203)
Pd (0.0000, 0.0000, 0.5000)
Pd (0.2500, 0.2500, 0.2500)
Pd (0.5000, 0.5000, 0.0000)
Pd (0.5000, 0.5000, 0.5000)
Pd (0.7500, 0.7500, 0.7500)

Top 6 peaks for 10 to 90 degrees two-theta, sorted by position:
| 2θ (°) | I_rel |
| --- | --- |
| 25.06 | 20.3 |
| 29.64 | 33.1 |
| 35.87 | 100.0 |
| 39.18 | 51.2 |
| 43.34 | 25.6 |
| 48.12 | 21.9 |

---

Record 3
The following is a simulated PXRD pattern of NaDy4Se5. It was derived from DFT lattice parameters and positions (PBE), using Cu Kα.
Kinematic intensities with the Lorentz-polarization factor, no thermal factor.

Unit cell a=10.8739 b=10.8739 c=10.8739 alpha=158.26 beta=149.28 gamma=37.95
Element x y z (fractional)
Na (0.0000, 0.0000, 0.0000)
Dy (0.2041, 0.2041, 0.0000)
Dy (0.3990, 0.3990, 0.0000)
Dy (0.6010, 0.6010, 0.0000)
Dy (0.7959, 0.7959, 0.0000)
Se (0.1036, 0.6036, 0.5000)
Se (0.3015, 0.8015, 0.5000)
Se (0.5000, 0.0000, 0.5000)
Se (0.6985, 0.1985, 0.5000)
Se (0.8964, 0.3964, 0.5000)

Top 6 peaks for 10 to 90 degrees two-theta, sorted by position:
| 2θ (°) | I_rel |
| --- | --- |
| 30.79 | 100.0 |
| 31.05 | 49.3 |
| 44.29 | 73.2 |
| 54.85 | 19.0 |
| 54.96 | 19.4 |
| 72.94 | 24.4 |

---

Record 4
The following is a simulated PXRD pattern of Mg6TiCu. It was derived from DFT lattice parameters and positions (PBE), using Cu Kα.
Kinematic intensities with the Lorentz-polarization factor, no thermal factor.

Unit cell a=4.8530 b=6.2310 c=6.2310 alpha=58.35 beta=90.00 gamma=90.00
Element x y z (fractional)
Mg (0.0000, 0.0000, 0.0000)
Mg (0.0000, 0.0066, 0.5063)
Mg (0.0000, 0.4901, 0.4901)
Mg (0.0000, 0.5063, 0.0066)
Mg (0.5000, 0.3418, 0.8450)
Mg (0.5000, 0.8450, 0.3418)
Ti (0.5000, 0.8446, 0.8446)
Cu (0.5000, 0.3336, 0.3336)

Top 6 peaks for 10 to 90 degrees two-theta, sorted by position:
| 2θ (°) | I_rel |
| --- | --- |
| 16.29 | 21.3 |
| 33.80 | 32.3 |
| 37.05 | 38.7 |
| 37.92 | 58.1 |
| 38.69 | 100.0 |
| 72.08 | 23.9 |

---

Record 5
The following is a simulated PXRD pattern of Nd3YTh2. It was derived from DFT lattice parameters and positions (PBE), using Cu Kα.
Kinematic intensities with the Lorentz-polarization factor, no thermal factor.

Unit cell a=9.4818 b=9.4818 c=6.6891 alpha=90.00 beta=90.00 gamma=136.96
Element x y z (fractional)
Nd (0.0788, 0.4251, 0.7500)
Nd (0.1470, 0.8530, 0.7500)
Nd (0.4251, 0.0788, 0.2500)
Nd (0.5749, 0.9212, 0.7500)
Nd (0.8530, 0.1470, 0.2500)
Nd (0.9212, 0.5749, 0.2500)
Y (0.3534, 0.6466, 0.2500)
Y (0.6466, 0.3534, 0.7500)
Th (0.2529, 0.2529, 0.0000)
Th (0.2529, 0.2529, 0.5000)
Th (0.7471, 0.7471, 0.0000)
Th (0.7471, 0.7471, 0.5000)

Top 6 peaks for 10 to 90 degrees two-theta, sorted by position:
| 2θ (°) | I_rel |
| --- | --- |
| 10.03 | 52.0 |
| 28.54 | 100.0 |
| 30.40 | 75.8 |
| 30.69 | 79.2 |
| 33.63 | 80.7 |
| 38.72 | 59.0 |

---

Record 6
The following is a simulated PXRD pattern of Fe4Pd7Pt. It was derived from DFT lattice parameters and positions (PBE), using Cu Kα.
Kinematic intensities with the Lorentz-polarization factor, no thermal factor.

Unit cell a=4.7690 b=5.4796 c=7.1865 alpha=100.92 beta=108.70 gamma=90.03
Element x y z (fractional)
Fe (0.1710, 0.1606, 0.1690)
Fe (0.3248, 0.5814, 0.8306)
Fe (0.6752, 0.4186, 0.1694)
Fe (0.8290, 0.8394, 0.8310)
Pd (0.0008, 0.2516, 0.4945)
Pd (0.1758, 0.6598, 0.1569)
Pd (0.3282, 0.0875, 0.8450)
Pd (0.5000, 0.5000, 0.5000)
Pd (0.6718, 0.9125, 0.1550)
Pd (0.8242, 0.3402, 0.8431)
Pd (0.9992, 0.7484, 0.5055)
Pt (0.5000, 0.0000, 0.5000)

Top 6 peaks for 10 to 90 degrees two-theta, sorted by position:
| 2θ (°) | I_rel |
| --- | --- |
| 40.22 | 100.0 |
| 40.33 | 53.0 |
| 40.58 | 48.0 |
| 46.56 | 32.6 |
| 47.10 | 62.0 |
| 68.21 | 20.0 |